Diffraction record for LaPrB2Pt8. The X-ray powder pattern is computed, not measured: it uses DFT lattice parameters and positions (GGA-PBE) and Cu Kα.

Structure:
Lattice parameters (Å, degrees): 5.5217 5.5217 7.7092 90.00 90.00 120.00
Element x y z (fractional)
La1 0.0000 0.0000 0.0000
Pr1 0.0000 0.0000 0.5000
B1 0.3333 0.6667 0.0000
B2 0.6667 0.3333 0.0000
Pt1 0.0000 0.5000 0.1992
Pt2 0.0000 0.5000 0.8008
Pt3 0.3333 0.6667 0.5000
Pt4 0.5000 0.0000 0.1992
Pt5 0.5000 0.0000 0.8008
Pt6 0.5000 0.5000 0.1992
Pt7 0.5000 0.5000 0.8008
Pt8 0.6667 0.3333 0.5000

Largest 6 diffraction maxima, sorted by position, 15° ≤ 2θ ≤ 90°:
| 2θ/deg | Rel. int. |
| --- | --- |
| 34.51 | 38 |
| 34.92 | 43 |
| 37.62 | 93 |
| 40.18 | 100 |
| 44.60 | 55 |
| 67.90 | 37 |

***

Diffraction record for SrZr4As6O24. The X-ray powder pattern is computed, not measured: it uses DFT lattice parameters and positions (GGA-PBE) and Cu Kα.

Structure:
Lattice parameters (Å, degrees): 9.5061 9.5061 9.5061 55.66 55.66 55.66
Element x y z (fractional)
Sr1 0.0000 0.0000 0.0000
Zr1 0.1456 0.1456 0.1456
Zr2 0.3560 0.3560 0.3560
Zr3 0.6440 0.6440 0.6440
Zr4 0.8544 0.8544 0.8544
As1 0.0289 0.7538 0.4598
As2 0.2462 0.5402 0.9711
As3 0.4598 0.0289 0.7538
As4 0.5402 0.9711 0.2462
As5 0.7538 0.4598 0.0289
As6 0.9711 0.2462 0.5402
O1 0.0018 0.8148 0.6132
O2 0.1091 0.7579 0.8803
O3 0.1197 0.8909 0.2421
O4 0.1752 0.2099 0.5266
O5 0.1756 0.5338 0.4963
O6 0.1852 0.3868 0.9982
O7 0.2099 0.5266 0.1752
O8 0.2421 0.1197 0.8909
O9 0.3868 0.9982 0.1852
O10 0.4662 0.5037 0.8244
O11 0.4734 0.8248 0.7901
O12 0.4963 0.1756 0.5338
O13 0.5037 0.8244 0.4662
O14 0.5266 0.1752 0.2099
O15 0.5338 0.4963 0.1756
O16 0.6132 0.0018 0.8148
O17 0.7579 0.8803 0.1091
O18 0.7901 0.4734 0.8248
O19 0.8148 0.6132 0.0018
O20 0.8244 0.4662 0.5037
O21 0.8248 0.7901 0.4734
O22 0.8803 0.1091 0.7579
O23 0.8909 0.2421 0.1197
O24 0.9982 0.1852 0.3868

Largest 6 diffraction maxima, sorted by position, 15° ≤ 2θ ≤ 90°:
| 2θ/deg | Rel. int. |
| --- | --- |
| 20.01 | 24 |
| 22.91 | 100 |
| 27.55 | 28 |
| 30.06 | 74 |
| 35.02 | 35 |
| 46.81 | 21 |

***

Diffraction record for DyY2Al3AgIr2. The X-ray powder pattern is computed, not measured: it uses DFT lattice parameters and positions (GGA-PBE) and Cu Kα.

Structure:
Lattice parameters (Å, degrees): 4.1346 7.0706 7.0706 119.72 90.00 90.00
Element x y z (fractional)
Dy1 0.0000 0.0000 0.0000
Y1 0.0000 0.4193 0.8391
Y2 0.0000 0.8391 0.4193
Al1 0.5000 0.1633 0.4214
Al2 0.5000 0.4214 0.1633
Al3 0.5000 0.6737 0.6737
Ag1 0.0000 0.4169 0.4169
Ir1 0.5000 0.0851 0.7566
Ir2 0.5000 0.7566 0.0851

Largest 6 diffraction maxima, sorted by position, 15° ≤ 2θ ≤ 90°:
| 2θ/deg | Rel. int. |
| --- | --- |
| 25.19 | 33 |
| 26.00 | 36 |
| 33.32 | 100 |
| 36.45 | 74 |
| 36.55 | 45 |
| 43.79 | 31 |

***

Diffraction record for Hf2Ta4P3C3. The X-ray powder pattern is computed, not measured: it uses DFT lattice parameters and positions (GGA-PBE) and Cu Kα.

Structure:
Lattice parameters (Å, degrees): 5.7495 5.7495 12.2066 103.59 103.59 60.02
Element x y z (fractional)
Hf1 0.0350 0.8700 0.6051
Hf2 0.1300 0.9650 0.8949
Hf3 0.8700 0.0350 0.1051
Hf4 0.9650 0.1300 0.3949
Ta1 0.1995 0.3647 0.0988
Ta2 0.2988 0.4685 0.4012
Ta3 0.3647 0.1995 0.5988
Ta4 0.4685 0.2988 0.9012
Ta5 0.5315 0.7012 0.0988
Ta6 0.6353 0.8005 0.4012
Ta7 0.7012 0.5315 0.5988
Ta8 0.8005 0.6353 0.9012
P1 0.0835 0.2596 0.7503
P2 0.2596 0.0835 0.2503
P3 0.4263 0.5737 0.7500
P4 0.5737 0.4263 0.2500
P5 0.7404 0.9165 0.7497
P6 0.9165 0.7404 0.2497
C1 0.0000 0.5000 0.5000
C2 0.1681 0.6641 0.0000
C3 0.3359 0.8319 0.5000
C4 0.5000 0.0000 0.0000
C5 0.6641 0.1681 0.5000
C6 0.8319 0.3359 0.0000

Largest 6 diffraction maxima, sorted by position, 15° ≤ 2θ ≤ 90°:
| 2θ/deg | Rel. int. |
| --- | --- |
| 30.43 | 20 |
| 31.11 | 30 |
| 32.05 | 40 |
| 38.86 | 100 |
| 55.35 | 28 |
| 69.68 | 18 |

***

Diffraction record for Er2CoPt. The X-ray powder pattern is computed, not measured: it uses DFT lattice parameters and positions (GGA-PBE) and Cu Kα.

Structure:
Lattice parameters (Å, degrees): 4.1327 5.5552 7.1368 90.00 90.00 90.00
Element x y z (fractional)
Er1 0.0000 0.1168 0.0000
Er2 0.0000 0.8832 0.5000
Er3 0.5000 0.3742 0.6465
Er4 0.5000 0.6258 0.1465
Co1 0.5000 0.1042 0.2811
Co2 0.5000 0.8958 0.7811
Pt1 0.0000 0.3809 0.3586
Pt2 0.0000 0.6191 0.8586

Largest 6 diffraction maxima, sorted by position, 15° ≤ 2θ ≤ 90°:
| 2θ/deg | Rel. int. |
| --- | --- |
| 29.72 | 71 |
| 33.17 | 92 |
| 34.65 | 74 |
| 37.01 | 87 |
| 41.15 | 100 |
| 43.81 | 47 |

***

Diffraction record for KTbSe4. The X-ray powder pattern is computed, not measured: it uses DFT lattice parameters and positions (GGA-PBE) and Cu Kα.

Structure:
Lattice parameters (Å, degrees): 6.2827 6.2827 8.4045 90.00 90.00 90.00
Element x y z (fractional)
K1 0.2500 0.2500 0.0000
K2 0.7500 0.7500 0.0000
Tb1 0.2500 0.2500 0.5000
Tb2 0.7500 0.7500 0.5000
Se1 0.1129 0.6129 0.2932
Se2 0.1129 0.8871 0.7068
Se3 0.3871 0.6129 0.7068
Se4 0.3871 0.8871 0.2932
Se5 0.6129 0.1129 0.7068
Se6 0.6129 0.3871 0.2932
Se7 0.8871 0.1129 0.2932
Se8 0.8871 0.3871 0.7068

Largest 6 diffraction maxima, sorted by position, 15° ≤ 2θ ≤ 90°:
| 2θ/deg | Rel. int. |
| --- | --- |
| 29.25 | 100 |
| 33.63 | 74 |
| 35.68 | 34 |
| 37.97 | 23 |
| 45.68 | 57 |
| 54.56 | 23 |